TbVClO4: simulated powder diffraction line list (CuKα), based on DFT lattice parameters and positions (PBE+U).
Intensities are scaled so that the largest is 100.

Cell and atoms:
```
data_TbVClO4
_chemical_formula_sum 'Tb4 V4 Cl4 O16'
_space_group_name_H-M_alt 'C 1 2/m 1'
_space_group_IT_number 12
_cell_length_a 10.703
_cell_length_b 7.075
_cell_length_c 6.729
_cell_angle_alpha 90.00
_cell_angle_beta 102.80
_cell_angle_gamma 90.00
loop_
_space_group_symop_operation_xyz
'x,y,z'
'-x,-y,-z'
'-x,y,-z'
'x,-y,z'
'x+1/2,y+1/2,z'
'-x+1/2,-y+1/2,-z'
'-x+1/2,y+1/2,-z'
'x+1/2,-y+1/2,z'
loop_
_atom_site_label
_atom_site_type_symbol
_atom_site_fract_x
_atom_site_fract_y
_atom_site_fract_z
Tb1 Tb 0.248 0.000 0.379
V1 V 0.134 0.000 0.773
Cl1 Cl 0.016 0.500 0.314
O1 O 0.032 0.000 0.274
O2 O 0.192 0.187 0.649
O3 O 0.195 0.000 0.033
```

Largest 10 diffraction maxima, in order of falling intensity, 2θ = 10–90°:
hkl	d/Å	two_theta	I_rel
0 0 1	6.562	13.49	100
0 2 0	3.537	25.18	95
2 0 0	5.218	16.99	82
1 1 -2	3.027	29.51	53
3 1 -2	2.526	35.53	40
1 1 -1	4.667	19.02	38
3 1 0	3.118	28.63	37
2 0 1	3.704	24.03	36
3 1 -1	3.066	29.13	35
3 1 1	2.624	34.17	24